No. 1
Starting from a structure optimized by DFT (PBE+U), the powder diffraction line list of Sr2NiRuO6 was calculated for Cu Kα.

Atomic structure:
```
Sr2NiRuO6
1.0
0.000 3.967 3.967
3.967 0.000 3.967
3.967 3.967 0.000
Sr Ni Ru O
2 1 1 6
Direct
0.250 0.250 0.250
0.750 0.750 0.750
0.000 0.000 0.000
0.500 0.500 0.500
0.256 0.256 0.744
0.256 0.744 0.256
0.256 0.744 0.744
0.744 0.256 0.256
0.744 0.256 0.744
0.744 0.744 0.256
```

Principal peaks in the range 5° ≤ 2θ ≤ 70°, sorted by position:
Position (°2θ), Rel. int.
19.38, 43
22.41, 11
31.90, 1000
37.60, 18
39.34, 42
45.74, 354
50.11, 6
56.85, 385
60.64, 8
66.68, 208

=====

No. 2
Starting from a structure optimized by DFT (PBE+U), the powder diffraction line list of NaCoH4SO6F was calculated for Cu Kα.

Atomic structure:
```
NaCoH4SO6F
1.0
5.794 0.000 0.000
0.000 7.397 0.000
-2.725 0.000 6.750
Na Co H S O F
2 2 8 2 12 2
Direct
0.137 0.250 0.207
0.863 0.750 0.793
0.500 0.000 0.000
0.500 0.500 0.000
0.076 0.069 0.703
0.076 0.431 0.703
0.208 0.590 0.634
0.208 0.910 0.634
0.792 0.090 0.366
0.792 0.410 0.366
0.924 0.569 0.297
0.924 0.931 0.297
0.355 0.750 0.309
0.645 0.250 0.691
0.168 0.750 0.409
0.170 0.545 0.747
0.170 0.955 0.747
0.303 0.585 0.179
0.303 0.915 0.179
0.390 0.250 0.545
0.610 0.750 0.455
0.697 0.085 0.821
0.697 0.415 0.821
0.830 0.045 0.253
0.830 0.455 0.253
0.832 0.250 0.591
0.372 0.250 0.028
0.628 0.750 0.972
```

Principal peaks in the range 5° ≤ 2θ ≤ 70°, sorted by position:
Position (°2θ), Rel. int.
13.12, 591
16.50, 711
24.74, 557
25.37, 230
27.53, 779
29.50, 1000
33.99, 179
36.16, 209
36.35, 197
41.59, 221